Simulated X-ray powder pattern
Compound: Cr2CdAsO6
Radiation: Cu Kα X-rays
Structure: a DFT-relaxed cell (PBE+U, Alexandria)

Structural model:
Cell lengths 5.159, 5.213, 5.576 Å; angles 65.35, 89.25, 60.81 degrees
Space group P1 (No. 1)
Inequivalent atoms, fractional coordinates:
Cr: 0.000 0.000 0.000
Cr: 0.498 0.030 0.453
Cd: 0.272 0.472 0.827
As: 0.815 0.397 0.408
O: 0.087 0.212 0.215
O: 0.190 0.196 0.664
O: 0.472 0.472 0.221
O: 0.619 0.556 0.646
O: 0.748 0.824 0.224
O: 0.850 0.979 0.660

Top 8 peaks for 5 to 70 degrees two-theta, sorted by position:
Position (°2θ), Rel. int., h k l
23.51, 55, 1 1 1
23.76, 51, 1 0 -1
30.44, 100, 1 0 1
31.04, 93, 1 1 -1
32.53, 75, 0 1 2
34.28, 88, -1 1 1
34.48, 71, 1 2 1
34.80, 86, 2 1 0